Simulated powder diffraction line list
Compound: Tm3Zn2In4
Radiation: copper Kα
Structure: a structure optimized by DFT (GGA-PBE)
Peak positions follow from Bragg's law for the DFT cell and can differ from measured ones.

The 10 most intense peaks (10 to 80 degrees two-theta), by angle:
hkl 0 0 3, 2θ 33.49, I 49.6; hkl 3 1 0, 2θ 33.60, I 100.0; hkl 3 1 -3, 2θ 37.60, I 68.0; hkl 0 2 0, 2θ 37.91, I 33.9; hkl 6 0 -3, 2θ 51.15, I 15.2; hkl 0 2 3, 2θ 51.47, I 29.2; hkl 4 0 2, 2θ 52.31, I 13.2; hkl 6 2 -3, 2θ 65.40, I 14.4; hkl 3 3 0, 2θ 65.74, I 14.1; hkl 1 1 5, 2θ 66.19, I 25.6

Atomic structure:
Cell: 10.8589 4.7466 9.0164 Å, 90.00 117.06 90.00°
Space group C2/m (No. 12)
One atom of each set of equivalent atoms:
1 Tm 0.0000 0.0000 0.0000
2 Tm 0.1661 0.5000 0.6633
3 Zn 0.1108 0.5000 0.2818
4 In 0.0581 0.0000 0.3836
5 In 0.2165 0.5000 0.0635